No. 1
Calculated X-ray diffraction stick pattern of Ac2Ga6Co for λ = 1.5418 Å (Cu Kα), from a crystal structure in Alexandria, relaxed with PBE.
Kinematic intensities with the Lorentz-polarization factor, no thermal factor.

Most intense lines, 10 to 90 degrees two-theta, sorted by position:
- 4.580 Å, 19.38°, I 22
- 3.238 Å, 27.55°, I 58
- 2.644 Å, 33.90°, I 100
- 2.290 Å, 39.35°, I 66
- 2.048 Å, 44.22°, I 16
- 1.870 Å, 48.70°, I 20
- 1.619 Å, 56.87°, I 41
- 1.448 Å, 64.33°, I 16
- 1.381 Å, 67.88°, I 33
- 1.224 Å, 78.08°, I 15

Atomic structure:
a b c (Å): 6.4764 6.4764 6.4764
angles (deg): 60.00 60.00 60.00
Fractional positions:
Ac (0.2500, 0.2500, 0.2500)
Ac (0.7500, 0.7500, 0.7500)
Ga (0.2200, 0.2200, 0.7800)
Ga (0.2200, 0.7800, 0.2200)
Ga (0.2200, 0.7800, 0.7800)
Ga (0.7800, 0.2200, 0.2200)
Ga (0.7800, 0.2200, 0.7800)
Ga (0.7800, 0.7800, 0.2200)
Co (0.5000, 0.5000, 0.5000)

---

No. 2
Calculated X-ray diffraction stick pattern of Cr3NiSb4 for λ = 1.5418 Å (Cu Kα), from a crystal structure in Alexandria, relaxed with PBE.
Kinematic intensities with the Lorentz-polarization factor, no thermal factor.

Most intense lines, 10 to 90 degrees two-theta, sorted by position:
- 2.964 Å, 30.15°, I 100
- 2.194 Å, 41.14°, I 52
- 2.010 Å, 45.11°, I 47
- 1.664 Å, 55.21°, I 18
- 1.657 Å, 55.46°, I 16
- 1.482 Å, 62.69°, I 14
- 1.282 Å, 73.96°, I 15
- 1.193 Å, 80.52°, I 13
- 1.161 Å, 83.26°, I 7
- 1.156 Å, 83.66°, I 12

Atomic structure:
a b c (Å): 4.0201 4.0201 11.3029
angles (deg): 90.00 90.00 120.00
Fractional positions:
Cr (0.0000, 0.0000, 0.0000)
Cr (0.0000, 0.0000, 0.2580)
Cr (0.0000, 0.0000, 0.7420)
Ni (0.0000, 0.0000, 0.5000)
Sb (0.3333, 0.6667, 0.3895)
Sb (0.3333, 0.6667, 0.8712)
Sb (0.6667, 0.3333, 0.1288)
Sb (0.6667, 0.3333, 0.6105)

---

No. 3
Calculated X-ray diffraction stick pattern of Ho6C2O for λ = 1.5418 Å (Cu Kα), from a crystal structure in Alexandria, relaxed with PBE.
Kinematic intensities with the Lorentz-polarization factor, no thermal factor.

Most intense lines, 10 to 90 degrees two-theta, sorted by position:
- 3.065 Å, 29.14°, I 19
- 2.972 Å, 30.06°, I 27
- 2.724 Å, 32.88°, I 100
- 2.134 Å, 42.36°, I 21
- 1.770 Å, 51.65°, I 19
- 1.664 Å, 55.19°, I 23
- 1.521 Å, 60.93°, I 20
- 1.484 Å, 62.60°, I 14
- 1.212 Å, 78.98°, I 7
- 1.138 Å, 85.33°, I 19

Atomic structure:
a b c (Å): 6.9187 6.9187 6.9187
angles (deg): 52.59 52.59 52.59
Fractional positions:
Ho (0.0916, 0.7208, 0.4282)
Ho (0.2792, 0.5718, 0.9084)
Ho (0.4282, 0.0916, 0.7208)
Ho (0.5718, 0.9084, 0.2792)
Ho (0.7208, 0.4282, 0.0916)
Ho (0.9084, 0.2792, 0.5718)
C (0.3276, 0.3276, 0.3276)
C (0.6724, 0.6724, 0.6724)
O (0.5000, 0.5000, 0.5000)

---

No. 4
Calculated X-ray diffraction stick pattern of PrNd12Tl4O3 for λ = 1.5418 Å (Cu Kα), from a crystal structure in Alexandria, relaxed with PBE.
Kinematic intensities with the Lorentz-polarization factor, no thermal factor.

Most intense lines, 10 to 90 degrees two-theta, sorted by position:
- 3.645 Å, 24.42°, I 9
- 2.976 Å, 30.03°, I 100
- 2.755 Å, 32.50°, I 4
- 2.577 Å, 34.81°, I 69
- 1.822 Å, 50.05°, I 47
- 1.554 Å, 59.48°, I 41
- 1.488 Å, 62.41°, I 16
- 1.289 Å, 73.49°, I 7
- 1.183 Å, 81.37°, I 15
- 1.153 Å, 83.96°, I 19

Atomic structure:
a b c (Å): 8.9281 8.9281 8.9281
angles (deg): 109.47 109.47 109.47
Fractional positions:
Pr (0.0000, 0.0000, 0.0000)
Nd (0.0000, 0.2735, 0.2735)
Nd (0.0000, 0.7265, 0.7265)
Nd (0.2500, 0.5000, 0.7500)
Nd (0.2500, 0.7500, 0.5000)
Nd (0.2735, 0.0000, 0.2735)
Nd (0.2735, 0.2735, 0.0000)
Nd (0.5000, 0.2500, 0.7500)
Nd (0.5000, 0.7500, 0.2500)
Nd (0.7265, 0.0000, 0.7265)
Nd (0.7265, 0.7265, 0.0000)
Nd (0.7500, 0.2500, 0.5000)
Nd (0.7500, 0.5000, 0.2500)
Tl (0.0000, 0.0000, 0.5000)
Tl (0.0000, 0.5000, 0.0000)
Tl (0.5000, 0.0000, 0.0000)
Tl (0.5000, 0.5000, 0.5000)
O (0.0000, 0.5000, 0.5000)
O (0.5000, 0.0000, 0.5000)
O (0.5000, 0.5000, 0.0000)

---

No. 5
Calculated X-ray diffraction stick pattern of NaTeBr4 for λ = 1.5418 Å (Cu Kα), from a crystal structure in Alexandria, relaxed with PBE.
Kinematic intensities with the Lorentz-polarization factor, no thermal factor.

Most intense lines, 10 to 90 degrees two-theta, sorted by position:
- 6.301 Å, 14.06°, I 19
- 5.257 Å, 16.86°, I 98
- 3.468 Å, 25.69°, I 20
- 3.395 Å, 26.25°, I 19
- 3.150 Å, 28.33°, I 49
- 2.892 Å, 30.92°, I 100
- 2.311 Å, 38.98°, I 33
- 2.131 Å, 42.43°, I 64
- 2.077 Å, 43.57°, I 19
- 1.698 Å, 54.00°, I 24

Atomic structure:
a b c (Å): 7.4792 7.4792 8.3084
angles (deg): 90.00 90.00 114.80
Fractional positions:
Na (0.0000, 0.0000, 0.2500)
Na (0.0000, 0.0000, 0.7500)
Te (0.0000, 0.5000, 0.0000)
Te (0.5000, 0.0000, 0.5000)
Br (0.2234, 0.2912, 0.0000)
Br (0.2454, 0.7546, 0.2500)
Br (0.2454, 0.7546, 0.7500)
Br (0.2912, 0.2234, 0.5000)
Br (0.7088, 0.7766, 0.5000)
Br (0.7546, 0.2454, 0.2500)
Br (0.7546, 0.2454, 0.7500)
Br (0.7766, 0.7088, 0.0000)

---

No. 6
Calculated X-ray diffraction stick pattern of La10Ge3Bi3 for λ = 1.5418 Å (Cu Kα), from a crystal structure in Alexandria, relaxed with PBE.
Kinematic intensities with the Lorentz-polarization factor, no thermal factor.

Most intense lines, 10 to 90 degrees two-theta, sorted by position:
- 3.377 Å, 26.39°, I 22
- 3.086 Å, 28.93°, I 29
- 2.807 Å, 31.88°, I 100
- 2.745 Å, 32.62°, I 89
- 2.722 Å, 32.90°, I 57
- 2.147 Å, 42.08°, I 17
- 1.933 Å, 47.01°, I 21
- 1.819 Å, 50.15°, I 29
- 1.470 Å, 63.25°, I 16
- 1.434 Å, 65.03°, I 22

Atomic structure:
a b c (Å): 9.4294 9.4294 6.7541
angles (deg): 90.00 90.00 120.00
Fractional positions:
La (0.0000, 0.2509, 0.0000)
La (0.0000, 0.7520, 0.5000)
La (0.2480, 0.2480, 0.5000)
La (0.2509, 0.0000, 0.0000)
La (0.3333, 0.6667, 0.2720)
La (0.3333, 0.6667, 0.7280)
La (0.6667, 0.3333, 0.2720)
La (0.6667, 0.3333, 0.7280)
La (0.7491, 0.7491, 0.0000)
La (0.7520, 0.0000, 0.5000)
Ge (0.0000, 0.3804, 0.5000)
Ge (0.3804, 0.0000, 0.5000)
Ge (0.6196, 0.6196, 0.5000)
Bi (0.0000, 0.6096, 0.0000)
Bi (0.3904, 0.3904, 0.0000)
Bi (0.6096, 0.0000, 0.0000)

---

No. 7
Calculated X-ray diffraction stick pattern of LiZn3Cd for λ = 1.5418 Å (Cu Kα), from a crystal structure in Alexandria, relaxed with PBE.
Kinematic intensities with the Lorentz-polarization factor, no thermal factor.

Most intense lines, 10 to 90 degrees two-theta, sorted by position:
- 6.763 Å, 13.09°, I 26
- 4.030 Å, 22.06°, I 38
- 3.382 Å, 26.36°, I 24
- 2.646 Å, 33.88°, I 33
- 2.340 Å, 38.47°, I 84
- 2.278 Å, 39.57°, I 100
- 2.190 Å, 41.22°, I 31
- 2.111 Å, 42.84°, I 45
- 2.102 Å, 43.03°, I 56
- 1.216 Å, 78.73°, I 24

Atomic structure:
a b c (Å): 7.0868 5.7491 8.4427
angles (deg): 90.00 107.38 90.00
Fractional positions:
Li (0.0000, 0.2489, 0.0000)
Li (0.0000, 0.2511, 0.5000)
Li (0.0000, 0.7489, 0.5000)
Li (0.0000, 0.7511, 0.0000)
Zn (0.2355, 0.0001, 0.8072)
Zn (0.2355, 0.4999, 0.3072)
Zn (0.3895, 0.2457, 0.0969)
Zn (0.3895, 0.2543, 0.5969)
Zn (0.3895, 0.7483, 0.5972)
Zn (0.3895, 0.7517, 0.0972)
Zn (0.6105, 0.2483, 0.9028)
Zn (0.6105, 0.2517, 0.4028)
Zn (0.6105, 0.7457, 0.4031)
Zn (0.6105, 0.7543, 0.9031)
Zn (0.7645, 0.9999, 0.1928)
Zn (0.7645, 0.5001, 0.6928)
Cd (0.1963, 0.9999, 0.2993)
Cd (0.1963, 0.5001, 0.7993)
Cd (0.8037, 0.0001, 0.7007)
Cd (0.8037, 0.4999, 0.2007)

---

No. 8
Calculated X-ray diffraction stick pattern of Li3CdHg2 for λ = 1.5418 Å (Cu Kα), from a crystal structure in Alexandria, relaxed with PBE.
Kinematic intensities with the Lorentz-polarization factor, no thermal factor.

Most intense lines, 10 to 90 degrees two-theta, sorted by position:
- 3.405 Å, 26.17°, I 55
- 3.283 Å, 27.16°, I 100
- 2.363 Å, 38.08°, I 94
- 2.328 Å, 38.67°, I 23
- 2.315 Å, 38.90°, I 22
- 1.922 Å, 47.30°, I 23
- 1.914 Å, 47.49°, I 22
- 1.511 Å, 61.34°, I 21
- 1.479 Å, 62.84°, I 19
- 1.351 Å, 69.60°, I 16

Atomic structure:
a b c (Å): 4.6563 13.8909 3.4047
angles (deg): 90.00 90.00 90.00
Fractional positions:
Li (0.0000, 0.0000, 0.0000)
Li (0.0000, 0.3276, 0.0000)
Li (0.0000, 0.6724, 0.0000)
Li (0.5000, 0.1724, 0.0000)
Li (0.5000, 0.5000, 0.0000)
Li (0.5000, 0.8276, 0.0000)
Cd (0.0000, 0.5000, 0.5000)
Cd (0.5000, 0.0000, 0.5000)
Hg (0.0000, 0.1619, 0.5000)
Hg (0.0000, 0.8381, 0.5000)
Hg (0.5000, 0.3381, 0.5000)
Hg (0.5000, 0.6619, 0.5000)

---

- Number 2 is which compound?
  Cr3NiSb4